Record 1
Calculated PXRD pattern of LaFeAu for Cu Kα (weighted mean of Kα1 and Kα2), from a DFT-relaxed cell (PBE, Alexandria).
Lines closer than 0.1° are merged.

The 8 most intense peaks (2θ = 10–90°), low angle first:
two_theta  I (rel.)
23.59  113
27.30  620
39.00  1000
48.26  181
56.34  170
63.71  241
70.64  344
83.76  111

Crystal structure
a b c (Å): 4.619 4.619 4.619
angles (deg): 60.00 60.00 60.00
Element x y z (fractional)
La 0.000 0.000 0.000
Fe 0.750 0.750 0.750
Au 0.500 0.500 0.500

Record 2
Calculated PXRD pattern of Li2HfPb4 for Cu Kα (weighted mean of Kα1 and Kα2), from a DFT-relaxed cell (PBE, Alexandria).
Lines closer than 0.1° are merged.

The 8 most intense peaks (2θ = 10–90°), low angle first:
two_theta  I (rel.)
24.71  249
25.34  468
35.68  1000
36.14  484
44.27  221
52.03  174
63.81  191
64.69  367

Crystal structure
a b c (Å): 6.140 6.140 6.140
angles (deg): 110.15 110.15 108.13
Element x y z (fractional)
Li 0.000 0.500 0.500
Li 0.500 0.000 0.500
Hf 0.000 0.000 0.000
Pb 0.000 0.000 0.500
Pb 0.000 0.500 0.000
Pb 0.500 0.000 0.000
Pb 0.500 0.500 0.500

Record 3
Calculated PXRD pattern of AcCdSbN for Cu Kα (weighted mean of Kα1 and Kα2), from a DFT-relaxed cell (PBE, Alexandria).
Lines closer than 0.1° are merged.

The 8 most intense peaks (2θ = 10–90°), low angle first:
two_theta  I (rel.)
24.60  190
25.04  150
30.61  1000
34.58  469
42.90  175
49.71  166
50.67  210
59.52  306

Crystal structure
a b c (Å): 7.689 7.689 7.689
angles (deg): 152.40 152.40 39.43
Element x y z (fractional)
Ac 0.000 0.000 0.000
Cd 0.692 0.692 0.000
Sb 0.302 0.302 0.000
N 0.541 0.541 0.000

Record 4
Calculated PXRD pattern of Pu3Ga2Pd3 for Cu Kα (weighted mean of Kα1 and Kα2), from a DFT-relaxed cell (PBE, Alexandria).
Lines closer than 0.1° are merged.

The 8 most intense peaks (2θ = 10–90°), low angle first:
two_theta  I (rel.)
28.09  271
30.58  532
32.88  1000
33.22  338
33.76  511
36.53  469
37.64  641
37.87  527

Crystal structure
a b c (Å): 7.884 15.060 5.740
angles (deg): 90.00 90.00 90.00
Element x y z (fractional)
Pu 0.035 0.108 0.135
Pu 0.035 0.392 0.135
Pu 0.178 0.250 0.598
Pu 0.322 0.750 0.098
Pu 0.465 0.608 0.635
Pu 0.465 0.892 0.635
Pu 0.535 0.108 0.365
Pu 0.535 0.392 0.365
Pu 0.678 0.250 0.902
Pu 0.822 0.750 0.402
Pu 0.965 0.608 0.865
Pu 0.965 0.892 0.865
Ga 0.112 0.607 0.359
Ga 0.112 0.893 0.359
Ga 0.388 0.107 0.859
Ga 0.388 0.393 0.859
Ga 0.612 0.607 0.141
Ga 0.612 0.893 0.141
Ga 0.888 0.107 0.641
Ga 0.888 0.393 0.641
Pd 0.179 0.035 0.589
Pd 0.179 0.465 0.589
Pd 0.182 0.750 0.607
Pd 0.318 0.250 0.107
Pd 0.321 0.535 0.089
Pd 0.321 0.965 0.089
Pd 0.679 0.035 0.911
Pd 0.679 0.465 0.911
Pd 0.682 0.750 0.893
Pd 0.818 0.250 0.393
Pd 0.821 0.535 0.411
Pd 0.821 0.965 0.411